Record 1
Theoretical powder XRD pattern
Compound: Th3Sn13Rh4
Radiation: a wavelength of 1.5418 Å
Structure: a cell relaxed with PBE
No peak broadening, texture or thermal motion is included.

Structural model:
a = 9.791 Å, b = 9.791 Å, c = 9.791 Å
α = 90.00°, β = 90.00°, γ = 90.00°
Fractional positions:
Th 0.000 0.250 0.500
Th 0.000 0.750 0.500
Th 0.250 0.500 0.000
Th 0.500 0.000 0.250
Th 0.500 0.000 0.750
Th 0.750 0.500 0.000
Sn 0.000 0.000 0.000
Sn 0.000 0.308 0.152
Sn 0.000 0.308 0.848
Sn 0.000 0.692 0.152
Sn 0.000 0.692 0.848
Sn 0.152 0.000 0.308
Sn 0.152 0.000 0.692
Sn 0.192 0.500 0.348
Sn 0.192 0.500 0.652
Sn 0.308 0.152 0.000
Sn 0.308 0.848 0.000
Sn 0.348 0.192 0.500
Sn 0.348 0.808 0.500
Sn 0.500 0.348 0.192
Sn 0.500 0.348 0.808
Sn 0.500 0.500 0.500
Sn 0.500 0.652 0.192
Sn 0.500 0.652 0.808
Sn 0.652 0.192 0.500
Sn 0.652 0.808 0.500
Sn 0.692 0.152 0.000
Sn 0.692 0.848 0.000
Sn 0.808 0.500 0.348
Sn 0.808 0.500 0.652
Sn 0.848 0.000 0.308
Sn 0.848 0.000 0.692
Rh 0.250 0.250 0.250
Rh 0.250 0.250 0.750
Rh 0.250 0.750 0.250
Rh 0.250 0.750 0.750
Rh 0.750 0.250 0.250
Rh 0.750 0.250 0.750
Rh 0.750 0.750 0.250
Rh 0.750 0.750 0.750

Largest 10 diffraction maxima, by angle, 2θ from 10° to 90°:
two_theta, I (rel.)
33.0, 100
34.3, 39
36.7, 23
37.9, 11
45.4, 13
54.7, 13
58.1, 16
63.0, 16
69.9, 10
87.4, 12



Record 2
Theoretical powder XRD pattern
Compound: TbNdDy2Er5
Radiation: a wavelength of 1.5418 Å
Structure: a cell relaxed with PBE
No peak broadening, texture or thermal motion is included.

Structural model:
a = 9.644 Å, b = 9.644 Å, c = 9.644 Å
α = 125.19°, β = 125.19°, γ = 81.23°
Fractional positions:
Tb 0.250 0.750 0.500
Tb 0.750 0.250 0.500
Nd 0.250 0.250 0.000
Nd 0.750 0.750 0.000
Dy 0.113 0.613 0.726
Dy 0.387 0.113 0.500
Dy 0.613 0.887 0.500
Dy 0.887 0.387 0.274
Er 0.000 0.000 0.000
Er 0.073 0.163 0.500
Er 0.163 0.663 0.089
Er 0.337 0.427 0.500
Er 0.427 0.927 0.089
Er 0.500 0.500 0.000
Er 0.573 0.073 0.911
Er 0.663 0.573 0.500
Er 0.837 0.337 0.911
Er 0.927 0.837 0.500

Largest 10 diffraction maxima, by angle, 2θ from 10° to 90°:
two_theta, I (rel.)
28.4, 52
29.0, 50
31.7, 100
31.9, 15
34.2, 12
37.0, 21
38.2, 16
42.4, 16
52.4, 19
58.4, 13